# 1
Starting from a structure optimized by DFT (GGA-PBE), the powder XRD pattern of MgSc2ZnCd2Ag2 was computed for Cu Ka.
Kinematic intensities with the Lorentz-polarization factor, no thermal factor.

The 10 most intense peaks (2θ from 15° to 90°), low angle first:
| Position (°2θ) | I_rel |
| --- | --- |
| 18.6 | 1 |
| 22.8 | 21 |
| 37.7 | 100 |
| 44.5 | 11 |
| 54.3 | 16 |
| 59.6 | 5 |
| 68.0 | 32 |
| 72.7 | 3 |
| 80.4 | 10 |
| 84.9 | 4 |

Cell and atoms:
```
data_MgSc2ZnCd2Ag2
_symmetry_space_group_name_H-M 'P 1'
_symmetry_Int_Tables_number 1
_symmetry_space_group_name_Hall 'P 1'
_cell_length_a 4.7774
_cell_length_b 4.7774
_cell_length_c 6.7593
_cell_angle_alpha 90.00
_cell_angle_beta 90.00
_cell_angle_gamma 90.00
loop_
_atom_site_label
_atom_site_type_symbol
_atom_site_fract_x
_atom_site_fract_y
_atom_site_fract_z
_atom_site_occupancy
Mg1 Mg 0.0000 0.0000 0.0000 1
Sc1 Sc 0.0000 0.5000 0.7323 1
Sc2 Sc 0.5000 0.0000 0.2677 1
Zn1 Zn 0.5000 0.5000 0.5000 1
Cd1 Cd 0.0000 0.5000 0.2542 1
Cd2 Cd 0.5000 0.0000 0.7458 1
Ag1 Ag 0.0000 0.0000 0.5000 1
Ag2 Ag 0.5000 0.5000 0.0000 1
```

=====

# 2
Starting from a structure optimized by DFT (GGA-PBE), the powder XRD pattern of SrMgCdAg was computed for Cu Ka.
Kinematic intensities with the Lorentz-polarization factor, no thermal factor.

The 10 most intense peaks (2θ from 15° to 90°), low angle first:
| Position (°2θ) | I_rel |
| --- | --- |
| 16.3 | 100 |
| 25.9 | 64 |
| 28.8 | 55 |
| 29.9 | 42 |
| 31.4 | 42 |
| 32.4 | 66 |
| 35.5 | 65 |
| 39.1 | 69 |
| 42.2 | 38 |
| 48.2 | 41 |

Cell and atoms:
```
data_SrMgCdAg
_symmetry_space_group_name_H-M 'P 1'
_symmetry_Int_Tables_number 1
_symmetry_space_group_name_Hall 'P 1'
_cell_length_a 11.5413
_cell_length_b 11.5413
_cell_length_c 6.2022
_cell_angle_alpha 90.00
_cell_angle_beta 90.00
_cell_angle_gamma 162.66
loop_
_atom_site_label
_atom_site_type_symbol
_atom_site_fract_x
_atom_site_fract_y
_atom_site_fract_z
_atom_site_occupancy
Sr1 Sr 0.0923 0.9077 0.0000 1
Sr2 Sr 0.9077 0.0923 0.0000 1
Mg1 Mg 0.1900 0.8100 0.5100 1
Mg2 Mg 0.8100 0.1900 0.5100 1
Cd1 Cd 0.0606 0.9394 0.5013 1
Cd2 Cd 0.9394 0.0606 0.5013 1
Ag1 Ag 0.2978 0.7022 0.1423 1
Ag2 Ag 0.7022 0.2978 0.1423 1
```

=====

# 3
Starting from a structure optimized by DFT (GGA-PBE), the powder XRD pattern of CdAgSO was computed for Cu Ka.
Kinematic intensities with the Lorentz-polarization factor, no thermal factor.

The 10 most intense peaks (2θ from 15° to 90°), low angle first:
| Position (°2θ) | I_rel |
| --- | --- |
| 27.2 | 16 |
| 30.7 | 41 |
| 31.0 | 55 |
| 31.4 | 20 |
| 32.8 | 19 |
| 36.4 | 100 |
| 41.7 | 17 |
| 44.4 | 19 |
| 45.8 | 25 |
| 58.8 | 23 |

Cell and atoms:
```
data_CdAgSO
_symmetry_space_group_name_H-M 'P 1'
_symmetry_Int_Tables_number 1
_symmetry_space_group_name_Hall 'P 1'
_cell_length_a 6.7818
_cell_length_b 6.7818
_cell_length_c 5.7657
_cell_angle_alpha 90.00
_cell_angle_beta 90.00
_cell_angle_gamma 150.12
loop_
_atom_site_label
_atom_site_type_symbol
_atom_site_fract_x
_atom_site_fract_y
_atom_site_fract_z
_atom_site_occupancy
Cd1 Cd 0.1337 0.8663 0.7500 1
Cd2 Cd 0.8663 0.1337 0.2500 1
Ag1 Ag 0.4236 0.5764 0.7500 1
Ag2 Ag 0.5764 0.4236 0.2500 1
S1 S 0.2170 0.7830 0.2500 1
S2 S 0.7830 0.2170 0.7500 1
O1 O 0.0000 0.0000 0.0000 1
O2 O 0.0000 0.0000 0.5000 1
```

=====

# 4
Starting from a structure optimized by DFT (GGA-PBE), the powder XRD pattern of CdAgSO was computed for Cu Ka.
Kinematic intensities with the Lorentz-polarization factor, no thermal factor.

The 10 most intense peaks (2θ from 15° to 90°), low angle first:
| Position (°2θ) | I_rel |
| --- | --- |
| 29.9 | 67 |
| 30.4 | 57 |
| 33.9 | 100 |
| 37.0 | 40 |
| 47.9 | 16 |
| 49.4 | 17 |
| 51.1 | 56 |
| 57.8 | 23 |
| 58.8 | 19 |
| 63.3 | 15 |

Cell and atoms:
```
data_CdAgSO
_symmetry_space_group_name_H-M 'P 1'
_symmetry_Int_Tables_number 1
_symmetry_space_group_name_Hall 'P 1'
_cell_length_a 4.8547
_cell_length_b 7.5921
_cell_length_c 7.3748
_cell_angle_alpha 90.00
_cell_angle_beta 90.00
_cell_angle_gamma 90.00
loop_
_atom_site_label
_atom_site_type_symbol
_atom_site_fract_x
_atom_site_fract_y
_atom_site_fract_z
_atom_site_occupancy
Cd1 Cd 0.0251 0.0031 0.2500 1
Cd2 Cd 0.0251 0.4969 0.7500 1
Cd3 Cd 0.9749 0.5031 0.2500 1
Cd4 Cd 0.9749 0.9969 0.7500 1
Ag1 Ag 0.4928 0.7500 0.0000 1
Ag2 Ag 0.4928 0.7500 0.5000 1
Ag3 Ag 0.5072 0.2500 0.0000 1
Ag4 Ag 0.5072 0.2500 0.5000 1
S1 S 0.0072 0.2500 0.0000 1
S2 S 0.0072 0.2500 0.5000 1
S3 S 0.9928 0.7500 0.0000 1
S4 S 0.9928 0.7500 0.5000 1
O1 O 0.4909 0.5898 0.2500 1
O2 O 0.4909 0.9102 0.7500 1
O3 O 0.5091 0.0898 0.2500 1
O4 O 0.5091 0.4102 0.7500 1
```